Structure and theoretical powder diffractogram of SmScCu10 (a structure optimized by DFT (GGA-PBE); λ = 1.5418 Å (Cu Kα)).

Cell and atoms:
Cell lengths 4.112, 4.990, 8.617 Å; angles 90.00, 90.00, 90.00 degrees
Space group Pmmm (No. 47)
Inequivalent atoms, fractional coordinates:
Sm: 0.000 0.000 0.000 [1 per cell]
Sc: 0.000 0.500 0.500 [1 per cell]
Cu: 0.000 0.000 0.342 [2 per cell]
Cu: 0.000 0.500 0.177 [2 per cell]
Cu: 0.500 0.000 0.500 [1 per cell]
Cu: 0.500 0.253 0.256 [4 per cell]
Cu: 0.500 0.500 0.000 [1 per cell]

Peak list (10 most intense, 10° ≤ 2θ ≤ 90°, in order of rising 2θ)
2theta  I (rel.)
30.0  26.8
36.0  23.5
41.9  31.3
42.4  100.0
44.0  31.7
47.6  24.0
58.2  11.2
62.4  18.1
69.1  14.1
79.9  14.0

Structure and theoretical powder diffractogram of Cu6Pt2Au (a structure optimized by DFT (GGA-PBE); λ = 1.5418 Å (Cu Kα)).

Cell and atoms:
Cell lengths 9.154, 7.280, 4.409 Å; angles 90.00, 118.41, 90.00 degrees
Space group C2/m (No. 12)
Inequivalent atoms, fractional coordinates:
Cu: 0.000 0.193 0.000 [4 per cell]
Cu: 0.172 0.316 0.672 [8 per cell]
Pt: 0.165 0.500 0.165 [4 per cell]
Au: 0.000 0.000 0.500 [2 per cell]

Peak list (10 most intense, 10° ≤ 2θ ≤ 90°, in order of rising 2θ)
2theta  I (rel.)
23.6  86.7
24.5  18.5
35.7  96.3
40.9  59.4
42.5  100.0
46.7  61.9
46.9  61.1
55.2  27.4
55.6  26.8
79.0  19.5

Structure and theoretical powder diffractogram of CsRb4I5 (a structure optimized by DFT (GGA-PBE); λ = 1.5418 Å (Cu Kα)).

Cell and atoms:
Cell lengths 5.3311, 5.3311, 65.2475 Å; angles 90.00, 90.00, 120.00 degrees
Space group R-3m (No. 166, hexagonal axes)
Inequivalent atoms, fractional coordinates:
Cs: 0.0000 0.0000 0.0000 [3 per cell]
Rb: 0.0000 0.0000 0.1993 [6 per cell]
Rb: 0.0000 0.0000 0.4021 [6 per cell]
I: 0.0000 0.0000 0.1015 [6 per cell]
I: 0.0000 0.0000 0.2971 [6 per cell]
I: 0.0000 0.0000 0.5000 [3 per cell]

Peak list (10 most intense, 10° ≤ 2θ ≤ 90°, in order of rising 2θ)
2theta  I (rel.)
23.6  100.0
33.6  78.7
41.5  28.7
48.3  13.6
54.4  37.4
60.1  27.3
70.7  8.3
75.7  16.9
80.6  11.3
85.4  9.8

Structure and theoretical powder diffractogram of Hg2BrCl6 (a structure optimized by DFT (GGA-PBE); λ = 1.5418 Å (Cu Kα)).

Cell and atoms:
Cell lengths 13.867, 13.236, 7.146 Å; angles 90.00, 107.96, 90.00 degrees
Space group C2/c (No. 15)
Inequivalent atoms, fractional coordinates:
Hg: 0.137 0.097 0.106 [8 per cell]
Br: 0.000 0.438 0.250 [4 per cell]
Cl: 0.120 0.077 0.554 [8 per cell]
Cl: 0.127 0.426 0.660 [8 per cell]
Cl: 0.149 0.270 0.139 [8 per cell]

Peak list (10 most intense, 10° ≤ 2θ ≤ 90°, in order of rising 2θ)
2theta  I (rel.)
13.4  51.4
17.7  86.4
18.7  37.6
20.6  100.0
21.3  95.3
25.5  59.8
25.9  81.3
27.0  76.2
33.2  64.2
41.4  33.8

Structure and theoretical powder diffractogram of CePmZr (a structure optimized by DFT (GGA-PBE); λ = 1.5418 Å (Cu Kα)).

Cell and atoms:
Cell lengths 3.374, 3.374, 14.841 Å; angles 90.00, 90.00, 90.00 degrees
Space group P4/nmm (No. 129, origin choice 2)
Inequivalent atoms, fractional coordinates:
Ce: 0.250 0.250 0.229 [2 per cell]
Pm: 0.250 0.250 0.595 [2 per cell]
Zr: 0.250 0.250 0.928 [2 per cell]

Peak list (10 most intense, 10° ≤ 2θ ≤ 90°, in order of rising 2θ)
2theta  I (rel.)
29.1  9.7
32.1  100.0
36.3  13.5
37.7  35.3
49.0  6.9
53.4  17.8
54.4  12.1
56.6  7.8
64.6  26.3
67.2  8.8

Structure and theoretical powder diffractogram of Sm5GaS5 (a structure optimized by DFT (GGA-PBE); λ = 1.5418 Å (Cu Kα)).

Cell and atoms:
Cell lengths 12.875, 5.715, 8.166 Å; angles 90.00, 108.52, 90.00 degrees
Space group C2/m (No. 12)
Inequivalent atoms, fractional coordinates:
Sm: 0.000 0.000 0.000 [2 per cell]
Sm: 0.162 0.500 0.823 [4 per cell]
Sm: 0.168 0.500 0.340 [4 per cell]
Ga: 0.000 0.500 0.000 [2 per cell]
S: 0.000 0.500 0.500 [2 per cell]
S: 0.172 0.000 0.331 [4 per cell]
S: 0.173 0.000 0.843 [4 per cell]

Peak list (10 most intense, 10° ≤ 2θ ≤ 90°, in order of rising 2θ)
2theta  I (rel.)
17.1  16.9
26.9  74.5
31.0  100.0
31.3  49.3
44.4  18.0
44.5  18.0
44.7  71.8
55.3  19.8
55.4  18.7
73.6  23.9

Structure and theoretical powder diffractogram of DyGa2Sn2 (a structure optimized by DFT (GGA-PBE); λ = 1.5418 Å (Cu Kα)).

Cell and atoms:
Cell lengths 4.668, 21.089, 4.653 Å; angles 90.00, 90.00, 90.00 degrees
Space group Cmcm (No. 63)
Inequivalent atoms, fractional coordinates:
Dy: 0.000 0.135 0.250 [4 per cell]
Ga: 0.000 0.031 0.750 [4 per cell]
Ga: 0.000 0.463 0.750 [4 per cell]
Sn: 0.000 0.249 0.750 [4 per cell]
Sn: 0.000 0.374 0.250 [4 per cell]

Peak list (10 most intense, 10° ≤ 2θ ≤ 90°, in order of rising 2θ)
2theta  I (rel.)
29.9  27.0
34.0  14.9
34.5  100.0
38.6  24.2
38.7  24.0
52.4  8.9
55.8  16.7
64.0  13.4
67.2  14.6
67.4  14.5

Structure and theoretical powder diffractogram of Ho3AlCu4 (a structure optimized by DFT (GGA-PBE); λ = 1.5418 Å (Cu Kα)).

Cell and atoms:
Cell lengths 3.755, 6.441, 13.748 Å; angles 90.00, 90.00, 90.00 degrees
Space group Immm (No. 71)
Inequivalent atoms, fractional coordinates:
Ho: 0.000 0.000 0.000 [2 per cell]
Ho: 0.000 0.500 0.191 [4 per cell]
Al: 0.000 0.000 0.500 [2 per cell]
Cu: 0.000 0.305 0.376 [8 per cell]

Peak list (10 most intense, 10° ≤ 2θ ≤ 90°, in order of rising 2θ)
2theta  I (rel.)
23.8  66.5
30.5  100.0
37.4  52.6
38.3  27.3
40.7  53.1
41.9  21.3
46.7  29.5
48.5  33.5
50.8  24.8
75.2  22.1

Structure and theoretical powder diffractogram of Li5CuP2O8 (a structure optimized by DFT (GGA-PBE); λ = 1.5418 Å (Cu Kα)).

Cell and atoms:
Cell lengths 5.305, 6.224, 10.001 Å; angles 89.94, 89.80, 89.27 degrees
Space group P1 (No. 1)
Inequivalent atoms, fractional coordinates:
Li: 0.000 0.000 0.000 [1 per cell]
Li: 0.000 0.489 0.998 [1 per cell]
Li: 0.343 0.503 0.248 [1 per cell]
Li: 0.346 0.002 0.246 [1 per cell]
Li: 0.348 0.996 0.756 [1 per cell]
Li: 0.349 0.506 0.752 [1 per cell]
Li: 0.514 0.747 0.004 [1 per cell]
Li: 0.826 0.251 0.248 [1 per cell]
Li: 0.832 0.246 0.748 [1 per cell]
Li: 0.994 0.506 0.496 [1 per cell]
Cu: 0.019 0.959 0.483 [1 per cell]
Cu: 0.453 0.761 0.503 [1 per cell]
P: 0.498 0.249 0.996 [1 per cell]
P: 0.504 0.259 0.496 [1 per cell]
P: 0.846 0.746 0.237 [1 per cell]
P: 0.847 0.746 0.754 [1 per cell]
O: 0.354 0.461 0.549 [1 per cell]
O: 0.359 0.454 0.049 [1 per cell]
O: 0.361 0.044 0.047 [1 per cell]
O: 0.370 0.061 0.561 [1 per cell]
O: 0.490 0.250 0.341 [1 per cell]
O: 0.494 0.251 0.840 [1 per cell]
O: 0.564 0.751 0.282 [1 per cell]
O: 0.570 0.748 0.807 [1 per cell]
O: 0.776 0.247 0.047 [1 per cell]
O: 0.780 0.263 0.546 [1 per cell]
O: 0.841 0.744 0.598 [1 per cell]
O: 0.858 0.743 0.082 [1 per cell]
O: 0.981 0.543 0.294 [1 per cell]
O: 0.982 0.957 0.283 [1 per cell]
O: 0.986 0.951 0.803 [1 per cell]
O: 0.988 0.539 0.802 [1 per cell]

Peak list (10 most intense, 10° ≤ 2θ ≤ 90°, in order of rising 2θ)
2theta  I (rel.)
14.2  62.6
16.8  97.2
17.7  60.2
22.2  52.2
22.8  53.0
24.5  85.3
33.2  60.8
33.6  67.3
33.8  79.6
35.9  100.0